Entry 1:
For PrNdO3, a DFT-relaxed cell (PBE, Alexandria) gives the theoretical powder X-ray diffraction pattern in this record (Cu Kα X-rays).
Lines closer than 0.1° are merged.

Main lines, in order of rising 2θ (2θ from 10° to 80°):
d [Å]	two_theta	I_rel	(hkl)
4.399	20.19	23	0 1 2
3.284	27.16	100	1 0 4
2.962	30.17	93	1 1 0
2.199	41.04	39	0 2 4
2.053	44.10	46	1 1 6
1.766	51.77	38	2 1 4
1.710	53.59	27	3 0 0
1.622	56.77	17	1 0 10
1.350	69.64	13	1 3 4
1.282	73.91	15	2 1 10

Cell and atoms:
```
data_PrNdO3
_symmetry_space_group_name_H-M 'R 3 2'
_symmetry_Int_Tables_number 155
_symmetry_space_group_name_Hall 'R 3 2"'
_cell_length_a 5.9243
_cell_length_b 5.9243
_cell_length_c 17.0932
_cell_angle_alpha 90.00
_cell_angle_beta 90.00
_cell_angle_gamma 120.00
loop_
_atom_site_label
_atom_site_type_symbol
_atom_site_fract_x
_atom_site_fract_y
_atom_site_fract_z
Pr1 Pr 0.0000 0.0000 0.1445
Nd1 Nd 0.0000 0.0000 0.3541
O1 O 0.0035 0.2922 0.2503
```

---

Entry 2:
For PrNdPuO6, a DFT-relaxed cell (PBE, Alexandria) gives the theoretical powder X-ray diffraction pattern in this record (Cu Kα X-rays).
Lines closer than 0.1° are merged.

Main lines, in order of rising 2θ (2θ from 10° to 80°):
d [Å]	two_theta	I_rel	(hkl)
4.833	18.36	20	0 0 2
3.521	25.30	100	1 0 2
2.966	30.13	65	1 1 0
2.528	35.51	23	1 1 2
2.269	39.73	30	2 0 2
1.874	48.59	50	1 1 4
1.802	50.66	30	2 1 2
1.713	53.50	21	3 0 0
1.397	66.97	13	3 0 4
1.264	75.16	13	4 -2 4

Cell and atoms:
```
data_PrNdPuO6
_symmetry_space_group_name_H-M 'P -3 1 c'
_symmetry_Int_Tables_number 163
_symmetry_space_group_name_Hall '-P 3 2c'
_cell_length_a 5.9330
_cell_length_b 5.9330
_cell_length_c 9.6669
_cell_angle_alpha 90.00
_cell_angle_beta 90.00
_cell_angle_gamma 120.00
loop_
_atom_site_label
_atom_site_type_symbol
_atom_site_fract_x
_atom_site_fract_y
_atom_site_fract_z
Pr1 Pr 0.0000 0.0000 0.0000
Nd1 Nd 0.3333 0.6667 0.2500
Pu1 Pu 0.3333 0.6667 0.7500
O1 O 0.0377 0.3683 0.6353
```

---

Entry 3:
For Pr2NdReO8, a DFT-relaxed cell (PBE, Alexandria) gives the theoretical powder X-ray diffraction pattern in this record (Cu Kα X-rays).
Lines closer than 0.1° are merged.

Main lines, in order of rising 2θ (2θ from 10° to 80°):
d [Å]	two_theta	I_rel	(hkl)
3.706	24.01	100	1 0 -1
2.921	30.61	89	0 2 1
2.620	34.22	27	2 0 0
1.951	46.56	69	1 2 -2
1.850	49.26	9	2 0 2
1.656	55.50	9	3 0 1
1.589	58.04	17	1 4 -1
1.565	59.04	20	3 2 0
1.460	63.72	10	2 4 0
1.206	79.44	9	1 4 3

Cell and atoms:
```
data_Pr2NdReO8
_symmetry_space_group_name_H-M 'P 1 2/m 1'
_symmetry_Int_Tables_number 10
_cell_length_a 5.240
_cell_length_b 7.036
_cell_length_c 5.241
_cell_angle_alpha 90.00
_cell_angle_beta 90.19
_cell_angle_gamma 90.00
loop_
_symmetry_equiv_pos_as_xyz
'x,y,z'
'-x,-y,-z'
'-x,y,-z'
'x,-y,z'
loop_
_atom_site_label
_atom_site_type_symbol
_atom_site_fract_x
_atom_site_fract_y
_atom_site_fract_z
Pr1 Pr 0.000 0.247 0.000
Nd1 Nd 0.500 0.500 0.500
Re1 Re 0.500 0.000 0.500
O1 O 0.191 0.500 0.192
O2 O 0.244 0.000 0.246
O3 O 0.325 0.200 0.677
```

---

Entry 4:
For Pr2NdRuO8, a DFT-relaxed cell (PBE, Alexandria) gives the theoretical powder X-ray diffraction pattern in this record (Cu Kα X-rays).
Lines closer than 0.1° are merged.

Main lines, in order of rising 2θ (2θ from 10° to 80°):
d [Å]	two_theta	I_rel	(hkl)
3.594	24.77	100	1 -1 0
3.509	25.38	75	1 1 0
3.016	29.62	56	0 1 -2
2.909	30.74	53	0 1 2
2.866	31.21	37	1 0 -2
2.830	31.62	34	1 0 2
2.376	37.87	23	2 0 0
1.988	45.62	25	1 -2 2
1.938	46.88	23	-1 2 2
1.863	48.89	25	-2 1 2

Cell and atoms:
```
data_Pr2NdRuO8
_symmetry_space_group_name_H-M 'P -1'
_symmetry_Int_Tables_number 2
_cell_length_a 4.753
_cell_length_b 5.350
_cell_length_c 7.119
_cell_angle_alpha 92.22
_cell_angle_beta 90.70
_cell_angle_gamma 91.36
loop_
_symmetry_equiv_pos_as_xyz
'x,y,z'
'-x,-y,-z'
loop_
_atom_site_label
_atom_site_type_symbol
_atom_site_fract_x
_atom_site_fract_y
_atom_site_fract_z
Pr1 Pr 0.053 0.041 0.253
Nd1 Nd 0.500 0.500 0.000
Ru1 Ru 0.500 0.500 0.500
O1 O 0.120 0.232 0.980
O2 O 0.179 0.304 0.534
O3 O 0.330 0.681 0.302
O4 O 0.402 0.745 0.711
```

---

Entry 5:
For PrNdSO2, a DFT-relaxed cell (PBE, Alexandria) gives the theoretical powder X-ray diffraction pattern in this record (Cu Kα X-rays).
Lines closer than 0.1° are merged.

Main lines, in order of rising 2θ (2θ from 10° to 80°):
d [Å]	two_theta	I_rel	(hkl)
6.245	14.18	14	0 0 2
3.750	23.73	38	1 0 1
2.858	31.29	100	1 0 3
2.780	32.20	40	1 1 0
2.076	43.59	23	1 1 4
1.965	46.19	22	2 0 0
1.666	55.12	18	1 1 6
1.625	56.65	11	1 0 7
1.620	56.85	36	2 1 3
1.252	75.99	10	2 1 7

Cell and atoms:
```
data_PrNdSO2
_symmetry_space_group_name_H-M 'I 4 m m'
_symmetry_Int_Tables_number 107
_symmetry_space_group_name_Hall 'I 4 -2'
_cell_length_a 3.931
_cell_length_b 3.931
_cell_length_c 12.490
_cell_angle_alpha 90.00
_cell_angle_beta 90.00
_cell_angle_gamma 90.00
loop_
_atom_site_label
_atom_site_type_symbol
_atom_site_fract_x
_atom_site_fract_y
_atom_site_fract_z
Pr1 Pr 0.000 0.000 0.000
Nd1 Nd 0.000 0.000 0.301
S1 S 0.000 0.000 0.649
O1 O 0.000 0.500 0.399
```

---

Entry 6:
For Nd4Pt6O19, a DFT-relaxed cell (PBE, Alexandria) gives the theoretical powder X-ray diffraction pattern in this record (Cu Kα X-rays).
Lines closer than 0.1° are merged.

Main lines, in order of rising 2θ (2θ from 10° to 80°):
d [Å]	two_theta	I_rel	(hkl)
6.411	13.81	25	1 1 0
4.533	19.58	17	2 0 0
3.701	24.04	37	2 1 1
2.867	31.20	100	3 0 1
2.617	34.26	13	2 2 2
2.423	37.10	68	3 1 2
1.851	49.24	21	4 2 2
1.778	51.39	46	4 3 1
1.511	61.36	32	6 0 0
1.337	70.44	19	6 1 3

Cell and atoms:
```
data_Nd4Pt6O19
_symmetry_space_group_name_H-M 'I 2 3'
_symmetry_Int_Tables_number 197
_symmetry_space_group_name_Hall 'I 2 2 3'
_cell_length_a 9.066
_cell_length_b 9.066
_cell_length_c 9.066
_cell_angle_alpha 90.00
_cell_angle_beta 90.00
_cell_angle_gamma 90.00
loop_
_atom_site_label
_atom_site_type_symbol
_atom_site_fract_x
_atom_site_fract_y
_atom_site_fract_z
Nd1 Nd 0.158 0.158 0.158
Pt1 Pt 0.000 0.159 0.500
O1 O 0.000 0.000 0.000
O2 O 0.000 0.000 0.337
O3 O 0.035 0.284 0.678
```

---

Entry 7:
For Nd6Pt2O, a DFT-relaxed cell (PBE, Alexandria) gives the theoretical powder X-ray diffraction pattern in this record (Cu Kα X-rays).
Lines closer than 0.1° are merged.

Main lines, in order of rising 2θ (2θ from 10° to 80°):
d [Å]	two_theta	I_rel	(hkl)
2.947	30.33	100	0 2 2
2.897	30.87	82	2 1 -1
2.880	31.06	86	2 1 -3
2.777	32.24	80	2 0 0
2.751	32.55	84	2 0 -4
2.699	33.19	58	1 2 1
2.685	33.37	53	1 2 -3
2.509	35.79	45	0 0 4
2.463	36.48	79	0 2 3
2.279	39.55	49	1 3 -1

Cell and atoms:
```
data_Nd6Pt2O
_symmetry_space_group_name_H-M 'P 1 21/c 1'
_symmetry_Int_Tables_number 14
_cell_length_a 6.628
_cell_length_b 7.280
_cell_length_c 11.961
_cell_angle_alpha 90.00
_cell_angle_beta 122.96
_cell_angle_gamma 90.00
loop_
_symmetry_equiv_pos_as_xyz
'x,y,z'
'-x,-y,-z'
'-x,y+1/2,-z+1/2'
'x,-y+1/2,z+1/2'
loop_
_atom_site_label
_atom_site_type_symbol
_atom_site_fract_x
_atom_site_fract_y
_atom_site_fract_z
Nd1 Nd 0.110 0.030 0.241
Nd2 Nd 0.232 0.686 0.061
Nd3 Nd 0.378 0.174 0.061
Pt1 Pt 0.310 0.109 0.750
O1 O 0.000 0.000 0.000
```

---

Entry 8:
For Nd3PtO6, a DFT-relaxed cell (PBE, Alexandria) gives the theoretical powder X-ray diffraction pattern in this record (Cu Kα X-rays).
Lines closer than 0.1° are merged.

Main lines, in order of rising 2θ (2θ from 10° to 80°):
d [Å]	two_theta	I_rel	(hkl)
3.145	28.38	85	1 1 1
2.950	30.29	100	1 1 -3
2.856	31.32	27	2 0 -2
2.267	39.76	20	0 0 4
2.052	44.13	26	2 2 -2
1.859	49.01	12	2 0 2
1.798	50.78	18	0 2 4
1.734	52.79	14	3 1 -1
1.703	53.82	19	2 0 -6
1.635	56.25	13	3 1 -5

Cell and atoms:
```
data_Nd3PtO6
_symmetry_space_group_name_H-M 'P 1 21/c 1'
_symmetry_Int_Tables_number 14
_cell_length_a 5.735
_cell_length_b 5.901
_cell_length_c 10.319
_cell_angle_alpha 90.00
_cell_angle_beta 118.49
_cell_angle_gamma 90.00
loop_
_symmetry_equiv_pos_as_xyz
'x,y,z'
'-x,-y,-z'
'-x,y+1/2,-z+1/2'
'x,-y+1/2,z+1/2'
loop_
_atom_site_label
_atom_site_type_symbol
_atom_site_fract_x
_atom_site_fract_y
_atom_site_fract_z
Nd1 Nd 0.000 0.000 0.000
Nd2 Nd 0.294 0.055 0.759
Pt1 Pt 0.500 0.000 0.500
O1 O 0.087 0.085 0.243
O2 O 0.316 0.704 0.088
O3 O 0.382 0.221 0.075
```